Entry 1:
Starting from a crystal structure in OQMD, relaxed with PBE, the X-ray powder pattern of TlAg17 was simulated for Cu Kα, 1.54184 Å.
No peak broadening, texture or thermal motion is included.

abc: 5.0189 5.8115 29.4677
angles: 90.00 90.03 90.00
Space group P2_1/m (No. 11)
Asymmetric unit:
Tl (0.1675, 0.2500, 0.1493)
Ag (0.0000, 0.0000, 0.5000)
Ag (0.0008, 0.0023, 0.2563)
Ag (0.1673, 0.2500, 0.4189)
Ag (0.1666, 0.7500, 0.1750)
Ag (0.1666, 0.7500, 0.4189)
Ag (0.1670, 0.7500, 0.6620)
Ag (0.1677, 0.2500, 0.6623)
Ag (0.3331, 0.9998, 0.3377)
Ag (0.3333, 0.0005, 0.5810)
Ag (0.3330, 0.0013, 0.8250)
Ag (0.4987, 0.2500, 0.2562)
Ag (0.4995, 0.7500, 0.2564)
Ag (0.5004, 0.2500, 0.4999)

Top 8 peaks for 10° ≤ 2θ ≤ 90°, low angle first:
36.59°, rel. 28, hkl 0 0 12
37.83°, rel. 100, hkl 2 0 4
38.96°, rel. 14, hkl 2 0 5
43.60°, rel. 60, hkl 1 2 8
45.50°, rel. 11, hkl 2 0 -9
62.53°, rel. 13, hkl 2 0 16
64.26°, rel. 16, hkl 3 2 0
76.27°, rel. 12, hkl 3 2 12

---

Entry 2:
Starting from a crystal structure in OQMD, relaxed with PBE, the X-ray powder pattern of TlAg10 was simulated for Cu Kα, 1.54184 Å.
No peak broadening, texture or thermal motion is included.

abc: 9.0637 4.0324 33.1432
angles: 90.00 90.29 90.00
Space group C2/m (No. 12)
Asymmetric unit:
Tl (0.1510, 0.0000, 0.1878)
Ag (0.0495, 0.0000, 0.3981)
Ag (0.0503, 0.0000, 0.6873)
Ag (0.0500, 0.5000, 0.5435)
Ag (0.0518, 0.5000, 0.2563)
Ag (0.1468, 0.5000, 0.6297)
Ag (0.1476, 0.0000, 0.7727)
Ag (0.1509, 0.0000, 0.4852)
Ag (0.1535, 0.5000, 0.3423)
Ag (0.2466, 0.5000, 0.7155)
Ag (0.2494, 0.5000, 0.4271)

Top 8 peaks for 10° ≤ 2θ ≤ 90°, low angle first:
36.50°, rel. 100, hkl 1 1 10
38.07°, rel. 85, hkl 3 1 -3
38.64°, rel. 49, hkl 1 1 11
38.75°, rel. 59, hkl 3 1 -4
43.02°, rel. 32, hkl 2 0 -14
44.41°, rel. 33, hkl 4 0 7
44.96°, rel. 33, hkl 0 2 0
65.04°, rel. 20, hkl 4 2 7

---

Entry 3:
Starting from a crystal structure in OQMD, relaxed with PBE, the X-ray powder pattern of TlAg17 was simulated for Cu Kα, 1.54184 Å.
No peak broadening, texture or thermal motion is included.

abc: 5.8035 5.8035 32.3921
angles: 90.00 90.00 120.00
Space group P-3m1 (No. 164)
Asymmetric unit:
Tl (0.3333, 0.6667, 0.3166)
Ag (0.0000, 0.0000, 0.0000)
Ag (0.0000, 0.0000, 0.2222)
Ag (0.0000, 0.5000, 0.0000)
Ag (0.0016, 0.5008, 0.2225)
Ag (0.1666, 0.3331, 0.1481)
Ag (0.1666, 0.3332, 0.7032)
Ag (0.1666, 0.3333, 0.9261)
Ag (0.3333, 0.6667, 0.0740)
Ag (0.3333, 0.6667, 0.8519)

Top 8 peaks for 10° ≤ 2θ ≤ 90°, low angle first:
36.05°, rel. 35, hkl 0 0 13
37.47°, rel. 100, hkl 2 0 4
38.42°, rel. 77, hkl 2 0 5
42.33°, rel. 23, hkl 0 2 8
43.94°, rel. 76, hkl 0 2 9
64.21°, rel. 33, hkl 2 2 0
75.88°, rel. 23, hkl 2 2 13
77.70°, rel. 20, hkl 0 2 23

---

Entry 4:
Starting from a crystal structure in OQMD, relaxed with PBE, the X-ray powder pattern of TlAg15 was simulated for Cu Kα, 1.54184 Å.
No peak broadening, texture or thermal motion is included.

abc: 4.9935 32.4263 4.9875
angles: 90.00 108.43 90.00
Space group P2/c (No. 13)
Asymmetric unit:
Tl (0.0000, 0.1414, 0.2500)
Ag (0.0000, 0.2024, 0.7500)
Ag (0.0000, 0.2494, 0.2500)
Ag (0.0000, 0.2948, 0.7500)
Ag (0.0000, 0.3410, 0.2500)
Ag (0.0000, 0.3862, 0.7500)
Ag (0.0000, 0.4319, 0.2500)
Ag (0.0000, 0.4773, 0.7500)
Ag (0.5000, 0.1587, 0.7500)
Ag (0.5000, 0.2022, 0.2500)
Ag (0.5000, 0.2486, 0.7500)
Ag (0.5000, 0.2946, 0.2500)
Ag (0.5000, 0.3400, 0.7500)
Ag (0.5000, 0.3862, 0.2500)
Ag (0.5000, 0.4314, 0.7500)
Ag (0.5000, 0.4774, 0.2500)

Top 8 peaks for 10° ≤ 2θ ≤ 90°, low angle first:
35.47°, rel. 23, hkl 1 10 -1
37.75°, rel. 87, hkl 1 11 -1
38.01°, rel. 100, hkl 2 0 0
41.64°, rel. 16, hkl 1 10 1
43.65°, rel. 57, hkl 1 11 1
44.77°, rel. 31, hkl 2 0 -2
64.27°, rel. 17, hkl 3 11 -1
64.34°, rel. 17, hkl 1 11 -3

---

Entry 5:
Starting from a crystal structure in OQMD, relaxed with PBE, the X-ray powder pattern of TmUAg was simulated for Cu Kα, 1.54184 Å.
No peak broadening, texture or thermal motion is included.

abc: 6.9725 6.9725 6.9725
angles: 90.00 90.00 90.00
Space group F-43m (No. 216)
Asymmetric unit:
Tm (0.0000, 0.0000, 0.0000)
U (0.0000, 0.0000, 0.5000)
Ag (0.2500, 0.2500, 0.2500)

Top 8 peaks for 10° ≤ 2θ ≤ 90°, low angle first:
22.08°, rel. 15, hkl 1 1 1
25.55°, rel. 38, hkl 2 0 0
36.45°, rel. 100, hkl 2 2 0
45.04°, rel. 12, hkl 2 2 2
52.50°, rel. 18, hkl 4 0 0
59.27°, rel. 16, hkl 4 2 0
65.59°, rel. 36, hkl 4 2 2
88.74°, rel. 17, hkl 6 2 0

---

Entry 6:
Starting from a crystal structure in OQMD, relaxed with PBE, the X-ray powder pattern of Y2TmAg3 was simulated for Cu Kα, 1.54184 Å.
No peak broadening, texture or thermal motion is included.

abc: 3.6110 3.6110 10.8412
angles: 90.00 90.00 90.00
Space group P4/mmm (No. 123)
Asymmetric unit:
Y (0.0000, 0.0000, 0.1687)
Tm (0.0000, 0.0000, 0.5000)
Ag (0.5000, 0.5000, 0.0000)
Ag (0.5000, 0.5000, 0.3395)

Top 8 peaks for 10° ≤ 2θ ≤ 90°, low angle first:
16.35°, rel. 2, hkl 0 0 2
26.01°, rel. 2, hkl 1 0 1
35.14°, rel. 100, hkl 1 1 0
41.67°, rel. 1, hkl 1 0 4
50.54°, rel. 17, hkl 2 0 0
63.04°, rel. 35, hkl 2 1 3
74.27°, rel. 11, hkl 2 2 0
84.90°, rel. 15, hkl 3 1 0

---

Entry 7:
Starting from a crystal structure in OQMD, relaxed with PBE, the X-ray powder pattern of UAg was simulated for Cu Kα, 1.54184 Å.
No peak broadening, texture or thermal motion is included.

abc: 2.9144 2.9144 5.5540
angles: 90.00 90.00 120.00
Space group P-6m2 (No. 187)
Asymmetric unit:
U (0.0000, 0.0000, 0.0000)
Ag (0.3333, 0.6667, 0.5000)

Top 8 peaks for 10° ≤ 2θ ≤ 90°, low angle first:
15.96°, rel. 20, hkl 0 0 1
32.24°, rel. 36, hkl 0 0 2
35.57°, rel. 28, hkl 1 0 0
39.21°, rel. 100, hkl 1 0 1
48.76°, rel. 24, hkl 1 0 2
62.19°, rel. 26, hkl 1 0 3
63.88°, rel. 15, hkl 1 1 0
73.38°, rel. 21, hkl 1 1 2

---

Entry 8:
Starting from a crystal structure in OQMD, relaxed with PBE, the X-ray powder pattern of ZnAg17 was simulated for Cu Kα, 1.54184 Å.
No peak broadening, texture or thermal motion is included.

abc: 5.0439 5.8374 34.5171
angles: 90.00 90.01 90.00
Space group P2_1/m (No. 11)
Asymmetric unit:
Zn (0.1670, 0.2500, 0.2779)
Ag (0.0000, 0.0000, 0.0000)
Ag (0.0004, 0.0009, 0.2094)
Ag (0.1665, 0.7500, 0.2791)
Ag (0.1662, 0.7500, 0.8604)
Ag (0.1668, 0.2500, 0.0697)
Ag (0.1671, 0.2500, 0.8606)
Ag (0.1665, 0.7500, 0.0697)
Ag (0.3332, 0.9999, 0.1395)
Ag (0.3334, 0.5036, 0.7209)
Ag (0.3336, 0.9996, 0.9303)
Ag (0.4982, 0.2500, 0.2092)
Ag (0.4992, 0.2500, 0.7909)
Ag (0.4998, 0.2500, 0.9999)

Top 8 peaks for 10° ≤ 2θ ≤ 90°, low angle first:
36.44°, rel. 35, hkl 0 0 14
37.10°, rel. 51, hkl 1 2 4
37.95°, rel. 100, hkl 1 2 5
39.15°, rel. 18, hkl 0 0 15
42.88°, rel. 50, hkl 2 0 9
44.46°, rel. 52, hkl 2 0 10
63.04°, rel. 22, hkl 1 2 19
63.92°, rel. 21, hkl 3 2 0

---

Entry 9:
Starting from a crystal structure in OQMD, relaxed with PBE, the X-ray powder pattern of Zn2Ag was simulated for Cu Kα, 1.54184 Å.
No peak broadening, texture or thermal motion is included.

abc: 5.1125 5.1125 8.2899
angles: 90.00 90.00 120.00
Space group P6_3/mmc (No. 194)
Asymmetric unit:
Zn (0.0000, 0.0000, 0.0000)
Zn (0.1707, 0.3414, 0.2500)
Ag (0.3333, 0.6667, 0.5613)

Top 8 peaks for 10° ≤ 2θ ≤ 90°, low angle first:
35.10°, rel. 44, hkl 1 1 0
38.40°, rel. 81, hkl 1 0 3
41.50°, rel. 100, hkl 1 1 2
42.25°, rel. 69, hkl 2 0 1
65.17°, rel. 29, hkl 2 1 3
67.35°, rel. 22, hkl 3 0 2
71.03°, rel. 27, hkl 2 0 5
74.19°, rel. 23, hkl 2 2 0

---

Entry 10:
Starting from a crystal structure in OQMD, relaxed with PBE, the X-ray powder pattern of ZnAg9 was simulated for Cu Kα, 1.54184 Å.
No peak broadening, texture or thermal motion is included.

abc: 2.9384 4.1040 41.2014
angles: 90.00 90.00 90.00
Space group Pmmn (No. 59, origin choice 2)
Asymmetric unit:
Zn (0.2500, 0.2500, 0.1651)
Ag (0.2500, 0.2500, 0.2311)
Ag (0.2500, 0.2500, 0.3025)
Ag (0.2500, 0.2500, 0.3744)
Ag (0.2500, 0.2500, 0.4462)
Ag (0.2500, 0.2500, 0.5180)
Ag (0.2500, 0.2500, 0.5898)
Ag (0.2500, 0.2500, 0.6618)
Ag (0.2500, 0.2500, 0.7342)
Ag (0.2500, 0.2500, 0.8097)

Top 8 peaks for 10° ≤ 2θ ≤ 90°, low angle first:
35.80°, rel. 13, hkl 0 1 13
37.63°, rel. 100, hkl 1 1 0
37.72°, rel. 14, hkl 1 1 1
43.52°, rel. 32, hkl 1 0 14
44.15°, rel. 20, hkl 0 2 0
63.72°, rel. 19, hkl 1 2 14
76.02°, rel. 11, hkl 2 1 14
76.86°, rel. 13, hkl 1 3 0

---

Entry 11:
Starting from a crystal structure in OQMD, relaxed with PBE, the X-ray powder pattern of ZnAg was simulated for Cu Kα, 1.54184 Å.
No peak broadening, texture or thermal motion is included.

abc: 4.5782 14.3550 4.9229
angles: 90.00 90.00 90.00
Space group Amm2 (No. 38)
Asymmetric unit:
Zn (0.0000, 0.0000, 0.0000)
Zn (0.0000, 0.0984, 0.5032)
Zn (0.5000, 0.0972, 0.8334)
Ag (0.0000, 0.1912, 0.9897)
Ag (0.5000, 0.0000, 0.3228)
Ag (0.5000, 0.1971, 0.3591)

Top 8 peaks for 10° ≤ 2θ ≤ 90°, low angle first:
36.22°, rel. 20, hkl 0 5 1
36.50°, rel. 15, hkl 0 0 2
39.36°, rel. 38, hkl 2 0 0
41.41°, rel. 100, hkl 1 5 1
41.66°, rel. 42, hkl 1 0 2
65.52°, rel. 14, hkl 0 5 3
72.76°, rel. 17, hkl 3 5 1
79.19°, rel. 16, hkl 2 5 3